1.
For Ho4In5Ga2, a cell relaxed with PBE gives the computed powder XRD pattern in this record (Cu Kα X-rays).

The 10 most intense peaks (2θ = 10–80°), in order of falling intensity:
- d 2.734, 2θ = 32.75°, I 100.0
- d 2.645, 2θ = 33.88°, I 88.1
- d 2.393, 2θ = 37.58°, I 84.7
- d 2.619, 2θ = 34.23°, I 78.7
- d 2.493, 2θ = 36.02°, I 47.5
- d 2.384, 2θ = 37.74°, I 45.1
- d 2.561, 2θ = 35.04°, I 44.1
- d 2.365, 2θ = 38.05°, I 42.7
- d 1.772, 2θ = 51.58°, I 37.0
- d 1.425, 2θ = 65.52°, I 35.6

Cell and atoms:
a b c (Å): 7.8063 3.5438 9.7778
angles (deg): 90.00 94.97 90.00
Element x y z (fractional)
Ho: 0.1788 0.0000 0.3692
Ho: 0.2527 0.0000 0.9362
Ho: 0.7473 0.0000 0.0638
Ho: 0.8212 0.0000 0.6308
In: 0.1748 0.5000 0.6547
In: 0.4479 0.5000 0.1869
In: 0.5000 0.5000 0.5000
In: 0.5521 0.5000 0.8131
In: 0.8252 0.5000 0.3453
Ga: 0.0671 0.5000 0.1287
Ga: 0.9329 0.5000 0.8713

2.
For Ho5In2Ga, a cell relaxed with PBE gives the computed powder XRD pattern in this record (Cu Kα X-rays).

The 10 most intense peaks (2θ = 10–80°), in order of falling intensity:
- d 2.728, 2θ = 32.83°, I 100.0
- d 2.421, 2θ = 37.14°, I 35.8
- d 1.450, 2θ = 64.25°, I 28.6
- d 1.651, 2θ = 55.68°, I 22.1
- d 2.257, 2θ = 39.94°, I 14.6
- d 1.712, 2θ = 53.54°, I 12.5
- d 1.378, 2θ = 68.06°, I 12.0
- d 1.364, 2θ = 68.84°, I 11.6
- d 1.210, 2θ = 79.13°, I 4.0
- d 5.455, 2θ = 16.25°, I 3.4

Cell and atoms:
a b c (Å): 6.8464 6.6195 6.6195
angles (deg): 62.28 58.86 58.86
Element x y z (fractional)
Ho: 0.9999 0.9999 0.0001
Ho: 0.0000 0.0000 0.5000
Ho: 0.0003 0.4998 0.9997
Ho: 0.4998 0.0003 0.5002
Ho: 0.5000 0.5000 0.0000
In: 0.9998 0.5001 0.4999
In: 0.5001 0.9998 0.0002
Ga: 0.5006 0.5006 0.4994